(1)
Th6Te3Ir2Se: calculated powder diffraction line list (copper Kα), based on a cell relaxed with PBE.
Intensities are scaled so that the largest is 100.

Structure:
```
data_Th6Te3Ir2Se
_cell_length_a 7.478
_cell_length_b 12.913
_cell_length_c 7.835
_cell_angle_alpha 90.00
_cell_angle_beta 108.46
_cell_angle_gamma 90.00
_space_group_name_H-M_alt 'C 1 2/m 1'
_space_group_IT_number 12
_space_group_name_Hall '-C 2y'
loop_
_atom_site_label
_atom_site_fract_x
_atom_site_fract_y
_atom_site_fract_z
Th1 0.213 0.000 0.207
Th2 0.248 0.322 0.209
Te1 0.000 0.000 0.500
Te2 0.000 0.342 0.500
Ir1 0.000 0.167 0.000
Se1 0.000 0.500 0.000
```

Peak list (12 most intense, 2θ from 10° to 80°, low angle first)
- d 7.432, I 11, (0 0 1)
- d 3.540, I 7, (1 3 -1)
- d 3.102, I 100, (2 0 -2)
- d 2.423, I 9, (2 0 -3)
- d 2.233, I 33, (2 0 2)
- d 2.155, I 38, (3 3 -1)
- d 1.773, I 6, (4 0 0)
- d 1.768, I 14, (2 6 -2)
- d 1.551, I 10, (4 0 -4)
- d 1.407, I 6, (3 3 -5)
- d 1.369, I 10, (5 3 -3)
- d 1.258, I 6, (4 6 -4)



(2)
CaYGa: calculated powder diffraction line list (copper Kα), based on a cell relaxed with PBE.
Intensities are scaled so that the largest is 100.

Structure:
```
data_CaYGa
_cell_length_a 5.1664
_cell_length_b 5.1664
_cell_length_c 6.9689
_cell_angle_alpha 90.00
_cell_angle_beta 90.00
_cell_angle_gamma 120.00
_space_group_name_H-M_alt 'P 3 m 1'
_space_group_IT_number 156
_space_group_name_Hall 'P 3 -2"'
loop_
_atom_site_label
_atom_site_fract_x
_atom_site_fract_y
_atom_site_fract_z
Ca1 0.0000 0.0000 0.0000
Ca2 0.3333 0.6667 0.2374
Y1 0.0000 0.0000 0.4972
Y2 0.6667 0.3333 0.7484
Ga1 0.3333 0.6667 0.7374
Ga2 0.6667 0.3333 0.2781
```

Peak list (12 most intense, 2θ from 10° to 80°, low angle first)
- d 6.969, I 13, (0 0 1)
- d 3.765, I 7, (0 1 1)
- d 3.484, I 8, (0 0 2)
- d 2.749, I 100, (0 1 2)
- d 2.583, I 94, (1 1 0)
- d 2.075, I 12, (1 1 2)
- d 1.883, I 32, (2 0 2)
- d 1.742, I 8, (0 0 4)
- d 1.521, I 31, (1 2 2)
- d 1.491, I 16, (3 0 0)
- d 1.444, I 26, (1 1 4)
- d 1.292, I 10, (2 2 0)



(3)
ErGe2Ir: calculated powder diffraction line list (copper Kα), based on a cell relaxed with PBE.
Intensities are scaled so that the largest is 100.

Structure:
```
data_ErGe2Ir
_cell_length_a 4.218
_cell_length_b 8.898
_cell_length_c 16.235
_cell_angle_alpha 90.00
_cell_angle_beta 90.00
_cell_angle_gamma 90.00
_space_group_name_H-M_alt 'I m m m'
_space_group_IT_number 71
_space_group_name_Hall '-I 2 2'
loop_
_atom_site_label
_atom_site_fract_x
_atom_site_fract_y
_atom_site_fract_z
Er1 0.000 0.000 0.204
Er2 0.000 0.234 0.000
Ge1 0.000 0.000 0.422
Ge2 0.000 0.348 0.203
Ge3 0.000 0.500 0.424
Ir1 0.000 0.249 0.355
```

Peak list (12 most intense, 2θ from 10° to 80°, low angle first)
- d 4.449, I 18, (0 2 0)
- d 3.327, I 15, (1 0 3)
- d 2.664, I 100, (1 2 3)
- d 2.573, I 52, (1 0 5)
- d 2.325, I 17, (1 3 2)
- d 2.312, I 27, (0 2 6)
- d 2.224, I 21, (0 4 0)
- d 2.109, I 35, (2 0 0)
- d 1.848, I 38, (0 2 8)
- d 1.558, I 19, (2 2 6)
- d 1.354, I 18, (1 6 3)
- d 1.301, I 14, (3 2 3)



(4)
PuMg5Pd6: calculated powder diffraction line list (copper Kα), based on a cell relaxed with PBE.
Intensities are scaled so that the largest is 100.

Structure:
```
data_PuMg5Pd6
_cell_length_a 4.577
_cell_length_b 6.620
_cell_length_c 7.146
_cell_angle_alpha 90.00
_cell_angle_beta 106.11
_cell_angle_gamma 90.00
_space_group_name_H-M_alt 'P 1 2/m 1'
_space_group_IT_number 10
_space_group_name_Hall '-P 2y'
loop_
_atom_site_label
_atom_site_fract_x
_atom_site_fract_y
_atom_site_fract_z
Pu1 0.000 0.000 0.000
Mg1 0.000 0.500 0.000
Mg2 0.329 0.000 0.654
Mg3 0.335 0.500 0.669
Pd1 0.171 0.260 0.341
Pd2 0.500 0.266 0.000
```

Peak list (12 most intense, 2θ from 10° to 80°, low angle first)
- d 6.865, I 12, (0 0 1)
- d 6.620, I 8, (0 1 0)
- d 4.765, I 12, (0 1 1)
- d 3.663, I 8, (1 1 0)
- d 3.595, I 8, (1 1 -1)
- d 3.309, I 11, (1 0 1)
- d 2.340, I 53, (1 2 1)
- d 2.287, I 100, (2 0 -1)
- d 1.655, I 18, (2 0 2)
- d 1.583, I 8, (2 0 -4)
- d 1.341, I 34, (3 2 0)
- d 1.311, I 16, (3 2 -3)



(5)
NaHgPd2Cl6: calculated powder diffraction line list (copper Kα), based on a cell relaxed with PBE.
Intensities are scaled so that the largest is 100.

Structure:
```
data_NaHgPd2Cl6
_cell_length_a 6.694
_cell_length_b 6.954
_cell_length_c 7.086
_cell_angle_alpha 88.56
_cell_angle_beta 62.54
_cell_angle_gamma 64.76
_space_group_name_H-M_alt 'P 1'
_space_group_IT_number 1
_space_group_name_Hall 'P 1'
loop_
_atom_site_label
_atom_site_fract_x
_atom_site_fract_y
_atom_site_fract_z
Na1 0.000 0.000 0.000
Hg1 0.217 0.357 0.131
Pd1 0.628 0.218 0.717
Pd2 0.660 0.657 0.984
Cl1 0.052 0.115 0.351
Cl2 0.243 0.225 0.746
Cl3 0.502 0.605 0.768
Cl4 0.512 0.449 0.223
Cl5 0.799 0.730 0.212
Cl6 0.841 0.846 0.742
```

Peak list (12 most intense, 2θ from 10° to 80°, low angle first)
- d 6.144, I 100, (0 0 1)
- d 5.600, I 59, (1 0 1)
- d 4.956, I 28, (1 1 1)
- d 3.944, I 20, (0 1 1)
- d 3.626, I 39, (1 -1 1)
- d 3.445, I 25, (1 2 0)
- d 3.301, I 34, (1 -1 0)
- d 3.072, I 21, (0 0 2)
- d 3.018, I 22, (0 2 -1)
- d 2.901, I 64, (2 1 2)
- d 2.539, I 18, (0 1 2)
- d 2.081, I 31, (0 3 -1)



(6)
Zr2Zn3Ir: calculated powder diffraction line list (copper Kα), based on a cell relaxed with PBE.
Intensities are scaled so that the largest is 100.

Structure:
```
data_Zr2Zn3Ir
_cell_length_a 8.823
_cell_length_b 12.139
_cell_length_c 15.316
_cell_angle_alpha 90.00
_cell_angle_beta 90.00
_cell_angle_gamma 90.00
_space_group_name_H-M_alt 'F d d d'
_space_group_IT_number 70
loop_
_space_group_symop_operation_xyz
'x,y,z'
'-x,-y,-z'
'-x+1/4,-y+1/4,z'
'x+1/4,y+1/4,-z'
'x,-y+1/4,-z+1/4'
'-x,y+1/4,z+1/4'
'-x+1/4,y,-z+1/4'
'x+1/4,-y,z+1/4'
'x,y+1/2,z+1/2'
'-x,-y+1/2,-z+1/2'
'-x+1/4,-y+3/4,z+1/2'
'x+1/4,y+3/4,-z+1/2'
'x,-y+3/4,-z+3/4'
'-x,y+3/4,z+3/4'
'-x+1/4,y+1/2,-z+3/4'
'x+1/4,-y+1/2,z+3/4'
'x+1/2,y,z+1/2'
'-x+1/2,-y,-z+1/2'
'-x+3/4,-y+1/4,z+1/2'
'x+3/4,y+1/4,-z+1/2'
'x+1/2,-y+1/4,-z+3/4'
'-x+1/2,y+1/4,z+3/4'
'-x+3/4,y,-z+3/4'
'x+3/4,-y,z+3/4'
'x+1/2,y+1/2,z'
'-x+1/2,-y+1/2,-z'
'-x+3/4,-y+3/4,z'
'x+3/4,y+3/4,-z'
'x+1/2,-y+3/4,-z+1/4'
'-x+1/2,y+3/4,z+1/4'
'-x+3/4,y+1/2,-z+1/4'
'x+3/4,-y+1/2,z+1/4'
loop_
_atom_site_label
_atom_site_fract_x
_atom_site_fract_y
_atom_site_fract_z
Zr1 0.125 0.004 0.125
Zr2 0.125 0.259 0.625
Zn1 0.120 0.366 0.957
Zn2 0.125 0.125 0.461
Ir1 0.125 0.125 0.292
```

Peak list (12 most intense, 2θ from 10° to 80°, low angle first)
- d 6.469, I 10, (1 1 1)
- d 4.152, I 14, (1 1 3)
- d 3.570, I 10, (2 2 0)
- d 3.035, I 10, (0 4 0)
- d 2.377, I 100, (2 4 2)
- d 2.208, I 95, (4 0 0)
- d 1.618, I 30, (0 4 8)
- d 1.517, I 9, (0 8 0)
- d 1.306, I 19, (4 4 8)
- d 1.304, I 9, (6 4 2)
- d 1.274, I 10, (6 0 6)
- d 1.251, I 18, (2 8 6)



(7)
LaY: calculated powder diffraction line list (copper Kα), based on a cell relaxed with PBE.
Intensities are scaled so that the largest is 100.

Structure:
```
data_LaY
_cell_length_a 6.449
_cell_length_b 5.861
_cell_length_c 7.444
_cell_angle_alpha 90.00
_cell_angle_beta 90.00
_cell_angle_gamma 90.00
_space_group_name_H-M_alt 'P n m a'
_space_group_IT_number 62
_space_group_name_Hall '-P 2ac 2n'
loop_
_atom_site_label
_atom_site_fract_x
_atom_site_fract_y
_atom_site_fract_z
La1 0.083 0.250 0.126
Y1 0.083 0.250 0.624
```

Peak list (12 most intense, 2θ from 10° to 80°, low angle first)
- d 4.605, I 3, (0 1 1)
- d 3.224, I 24, (2 0 0)
- d 2.930, I 25, (0 2 0)
- d 2.825, I 100, (1 1 2)
- d 2.168, I 16, (2 2 0)
- d 1.861, I 20, (3 0 2)
- d 1.671, I 21, (1 3 2)
- d 1.571, I 22, (3 2 2)
- d 1.554, I 16, (4 1 0)
- d 1.412, I 4, (2 2 4)
- d 1.334, I 3, (2 4 0)
- d 1.243, I 8, (4 3 0)



(8)
PaB2IrRh2: calculated powder diffraction line list (copper Kα), based on a cell relaxed with PBE.
Intensities are scaled so that the largest is 100.

Structure:
```
data_PaB2IrRh2
_cell_length_a 3.926
_cell_length_b 3.926
_cell_length_c 11.680
_cell_angle_alpha 90.00
_cell_angle_beta 90.00
_cell_angle_gamma 90.00
_space_group_name_H-M_alt 'I 4/m m m'
_space_group_IT_number 139
_space_group_name_Hall '-I 4 2'
loop_
_atom_site_label
_atom_site_fract_x
_atom_site_fract_y
_atom_site_fract_z
Pa1 0.000 0.000 0.000
B1 0.000 0.000 0.318
Ir1 0.000 0.000 0.500
Rh1 0.000 0.500 0.250
```

Peak list (12 most intense, 2θ from 10° to 80°, low angle first)
- d 5.840, I 17, (0 0 2)
- d 2.920, I 39, (0 0 4)
- d 2.776, I 8, (1 1 0)
- d 2.507, I 100, (1 1 2)
- d 2.012, I 6, (1 1 4)
- d 1.963, I 26, (2 0 0)
- d 1.629, I 28, (2 0 4)
- d 1.594, I 27, (1 1 6)
- d 1.460, I 5, (0 0 8)
- d 1.388, I 9, (2 2 0)
- d 1.254, I 12, (2 2 4)
- d 1.214, I 21, (3 1 2)



(9)
Y2BeBPt6: calculated powder diffraction line list (copper Kα), based on a cell relaxed with PBE.
Intensities are scaled so that the largest is 100.

Structure:
```
data_Y2BeBPt6
_cell_length_a 5.678
_cell_length_b 5.678
_cell_length_c 10.225
_cell_angle_alpha 90.00
_cell_angle_beta 90.00
_cell_angle_gamma 90.00
_space_group_name_H-M_alt 'I 4 m m'
_space_group_IT_number 107
_space_group_name_Hall 'I 4 -2'
loop_
_atom_site_label
_atom_site_fract_x
_atom_site_fract_y
_atom_site_fract_z
Y1 0.000 0.500 0.000
Be1 0.000 0.000 0.138
B1 0.000 0.000 0.636
Pt1 0.000 0.000 0.432
Pt2 0.000 0.000 0.928
Pt3 0.247 0.247 0.737
```

Peak list (12 most intense, 2θ from 10° to 80°, low angle first)
- d 5.113, I 13, (0 0 2)
- d 3.158, I 10, (1 1 2)
- d 2.556, I 19, (0 0 4)
- d 2.482, I 100, (2 0 2)
- d 2.156, I 9, (1 1 4)
- d 2.007, I 31, (2 2 0)
- d 1.900, I 12, (2 0 4)
- d 1.579, I 17, (2 2 4)
- d 1.461, I 7, (2 0 6)
- d 1.419, I 10, (4 0 0)
- d 1.241, I 8, (4 0 4)
- d 1.232, I 22, (4 2 2)